[1]
This entry pairs a crystal structure of NaSm3Ti2Sb2O14 with its calculated powder X-ray diffraction pattern. Radiation: λ = 1.5418 Å (Cu Kα). Structure: a structure optimized by DFT (PBE).
Intensities are scaled so that the largest is 1000.

Most intense lines, 2θ from 10° to 80°, by intensity:
2θ (°)  intensity
29.8  1000
34.4  402
29.6  347
49.4  316
49.6  308
58.8  274
19.0  245
58.6  143
58.9  136
61.8  97

Structural model:
```
NaSm3Ti2Sb2O14
1.0
7.386 0.000 0.000
0.000 7.348 0.000
-7.322 0.000 10.414
Na Sm Ti Sb O
2 6 4 4 28
Direct
0.000 0.000 0.000
0.000 0.000 0.500
0.000 0.243 0.250
0.000 0.500 0.000
0.000 0.500 0.500
0.000 0.757 0.750
0.500 0.227 0.250
0.500 0.773 0.750
0.500 0.263 0.750
0.500 0.500 0.000
0.500 0.500 0.500
0.500 0.737 0.250
0.000 0.255 0.750
0.000 0.745 0.250
0.500 0.000 0.000
0.500 0.000 0.500
0.131 0.256 0.129
0.131 0.744 0.629
0.171 0.047 0.872
0.171 0.953 0.372
0.177 0.455 0.877
0.177 0.545 0.377
0.179 0.269 0.679
0.179 0.731 0.179
0.424 0.250 0.423
0.424 0.750 0.923
0.427 0.447 0.622
0.427 0.553 0.122
0.443 0.053 0.632
0.443 0.947 0.132
0.557 0.053 0.868
0.557 0.947 0.368
0.573 0.447 0.878
0.573 0.553 0.378
0.576 0.250 0.077
0.576 0.750 0.577
0.821 0.269 0.821
0.821 0.731 0.321
0.823 0.455 0.623
0.823 0.545 0.123
0.829 0.047 0.628
0.829 0.953 0.128
0.869 0.256 0.371
0.869 0.744 0.871
```

[2]
This entry pairs a crystal structure of BaTbCu2S4 with its calculated powder X-ray diffraction pattern. Radiation: λ = 1.5418 Å (Cu Kα). Structure: a structure optimized by DFT (PBE).
Intensities are scaled so that the largest is 1000.

Most intense lines, 2θ from 10° to 80°, by intensity:
2θ (°)  intensity
28.6  1000
38.3  358
48.4  246
48.6  244
34.5  209
18.9  179
51.8  149
59.3  148
26.8  147
26.9  144

Structural model:
```
BaTbCu2S4
1.0
-3.317 3.331 4.167
3.317 -3.331 4.167
3.317 3.331 -4.167
Ba Tb Cu S
1 1 2 4
Direct
0.000 0.000 0.000
0.500 0.500 0.000
0.253 0.753 0.500
0.747 0.247 0.500
0.080 0.078 0.565
0.487 0.922 0.002
0.513 0.515 0.435
0.920 0.485 0.998
```

[3]
This entry pairs a crystal structure of Cs2SrHBr6 with its calculated powder X-ray diffraction pattern. Radiation: λ = 1.5418 Å (Cu Kα). Structure: a structure optimized by DFT (PBE).
Intensities are scaled so that the largest is 1000.

Most intense lines, 2θ from 10° to 80°, by intensity:
2θ (°)  intensity
27.2  1000
25.9  476
34.0  437
43.2  383
21.2  234
27.5  191
46.5  159
56.8  151
36.7  142
56.1  141

Structural model:
```
Cs2SrHBr6
1.0
-3.731 3.731 6.873
3.731 -3.731 6.873
3.731 3.731 -6.873
Cs Sr H Br
2 1 1 6
Direct
0.250 0.750 0.500
0.750 0.250 0.500
0.000 0.000 0.000
0.500 0.500 0.000
0.218 0.218 0.000
0.290 0.290 0.579
0.290 0.710 0.000
0.710 0.290 0.000
0.710 0.710 0.421
0.782 0.782 0.000
```

[4]
This entry pairs a crystal structure of Na5B7C3 with its calculated powder X-ray diffraction pattern. Radiation: λ = 1.5418 Å (Cu Kα). Structure: a structure optimized by DFT (PBE).
Intensities are scaled so that the largest is 1000.

Most intense lines, 2θ from 10° to 80°, by intensity:
2θ (°)  intensity
42.1  1000
41.0  508
42.3  379
63.5  176
36.2  174
79.3  169
77.1  126
35.0  110
56.8  98
65.9  81

Structural model:
```
Na5B7C3
1.0
8.556 0.000 0.000
0.000 1.418 12.834
0.000 -1.418 12.834
Na B C
10 14 6
Direct
0.243 0.000 0.000
0.248 0.199 0.199
0.248 0.398 0.398
0.248 0.798 0.798
0.251 0.600 0.600
0.749 0.600 0.600
0.752 0.199 0.199
0.752 0.398 0.398
0.752 0.798 0.798
0.757 0.000 0.000
0.000 0.136 0.136
0.000 0.330 0.330
0.000 0.466 0.466
0.000 0.539 0.539
0.000 0.733 0.733
0.000 0.925 0.925
0.500 0.064 0.064
0.500 0.131 0.131
0.500 0.261 0.261
0.500 0.328 0.328
0.500 0.474 0.474
0.500 0.669 0.669
0.500 0.868 0.868
0.500 0.933 0.933
0.000 0.071 0.071
0.000 0.265 0.265
0.000 0.668 0.668
0.000 0.862 0.862
0.500 0.534 0.534
0.500 0.731 0.731
```

Number 4 is which compound? Na5B7C3

What did the first record say?
This entry pairs a crystal structure of NaSm3Ti2Sb2O14 with its calculated powder X-ray diffraction pattern. Radiation: λ = 1.5418 Å (Cu Kα). Structure: a structure optimized by DFT (PBE).
Intensities are scaled so that the largest is 1000.

Most intense lines, 2θ from 10° to 80°, by intensity:
2θ (°)  intensity
29.8  1000
34.4  402
29.6  347
49.4  316
49.6  308
58.8  274
19.0  245
58.6  143
58.9  136
61.8  97

Structural model:
```
NaSm3Ti2Sb2O14
1.0
7.386 0.000 0.000
0.000 7.348 0.000
-7.322 0.000 10.414
Na Sm Ti Sb O
2 6 4 4 28
Direct
0.000 0.000 0.000
0.000 0.000 0.500
0.000 0.243 0.250
0.000 0.500 0.000
0.000 0.500 0.500
0.000 0.757 0.750
0.500 0.227 0.250
0.500 0.773 0.750
0.500 0.263 0.750
0.500 0.500 0.000
0.500 0.500 0.500
0.500 0.737 0.250
0.000 0.255 0.750
0.000 0.745 0.250
0.500 0.000 0.000
0.500 0.000 0.500
0.131 0.256 0.129
0.131 0.744 0.629
0.171 0.047 0.872
0.171 0.953 0.372
0.177 0.455 0.877
0.177 0.545 0.377
0.179 0.269 0.679
0.179 0.731 0.179
0.424 0.250 0.423
0.424 0.750 0.923
0.427 0.447 0.622
0.427 0.553 0.122
0.443 0.053 0.632
0.443 0.947 0.132
0.557 0.053 0.868
0.557 0.947 0.368
0.573 0.447 0.878
0.573 0.553 0.378
0.576 0.250 0.077
0.576 0.750 0.577
0.821 0.269 0.821
0.821 0.731 0.321
0.823 0.455 0.623
0.823 0.545 0.123
0.829 0.047 0.628
0.829 0.953 0.128
0.869 0.256 0.371
0.869 0.744 0.871
```